No. 1
This entry pairs a crystal structure of Tb2Tm5Sc4 with its calculated PXRD pattern. Radiation: Cu Kα X-rays. Structure: a DFT-relaxed cell (GGA-PBE, Alexandria).
Lines closer than 0.1° are merged.

Principal peaks in the range 2θ from 15° to 90°, by intensity:
hkl 0 1 0, 25.9°, d = 3.445 Å, rel. 1000
hkl 3 0 -1, 32.3°, d = 2.776 Å, rel. 730
hkl 1 0 -4, 33.0°, d = 2.718 Å, rel. 628
hkl 2 1 0, 33.8°, d = 2.654 Å, rel. 512
hkl 3 1 -1, 41.8°, d = 2.161 Å, rel. 483
hkl 1 1 -2, 31.8°, d = 2.816 Å, rel. 469
hkl 2 0 3, 34.6°, d = 2.590 Å, rel. 432
hkl 1 1 2, 33.2°, d = 2.698 Å, rel. 367
hkl 1 1 -4, 42.4°, d = 2.134 Å, rel. 361
hkl 1 2 -4, 64.0°, d = 1.454 Å, rel. 358
hkl 0 1 3, 35.7°, d = 2.512 Å, rel. 345
hkl 2 0 -3, 30.3°, d = 2.947 Å, rel. 312

Structural model:
Cell lengths 8.3928, 3.4449, 11.0934 Å; angles 90.00, 97.44, 90.00 degrees
Space group P2/m (No. 10)
Inequivalent atoms, fractional coordinates:
1 Tb 0.0601 0.0000 0.1376 [2 per cell]
2 Tm 0.1565 0.0000 0.6383 [2 per cell]
3 Tm 0.4515 0.0000 0.1963 [2 per cell]
4 Tm 0.5000 0.0000 0.5000 [1 per cell]
5 Sc 0.1914 0.5000 0.3786 [2 per cell]
6 Sc 0.2843 0.5000 0.9471 [2 per cell]

---

No. 2
This entry pairs a crystal structure of Tb12Tm7Sc with its calculated PXRD pattern. Radiation: Cu Kα X-rays. Structure: a DFT-relaxed cell (GGA-PBE, Alexandria).
Lines closer than 0.1° are merged.

Principal peaks in the range 2θ from 15° to 90°, by intensity:
hkl 0 3 3, 31.8°, d = 2.813 Å, rel. 1000
hkl 4 0 1, 32.4°, d = 2.766 Å, rel. 737
hkl 1 0 4, 29.4°, d = 3.040 Å, rel. 328
hkl 0 4 2, 34.7°, d = 2.586 Å, rel. 294
hkl 4 3 4, 57.4°, d = 1.606 Å, rel. 239
hkl 3 0 6, 49.6°, d = 1.838 Å, rel. 167
hkl 4 7 3, 85.8°, d = 1.133 Å, rel. 137
hkl 4 4 0, 56.2°, d = 1.637 Å, rel. 133
hkl 0 7 2, 58.9°, d = 1.569 Å, rel. 125
hkl 3 4 5, 61.9°, d = 1.500 Å, rel. 113
hkl 3 2 1, 35.2°, d = 2.548 Å, rel. 105
hkl 4 3 1, 49.4°, d = 1.844 Å, rel. 99

Structural model:
Cell lengths 13.0944, 13.0944, 12.6226 Å; angles 90.00, 90.00, 120.00 degrees
Space group R-3m (No. 166, hexagonal axes)
Inequivalent atoms, fractional coordinates:
1 Tb 0.0000 0.2614 0.0000 [18 per cell]
2 Tb 0.0890 0.1780 0.7673 [18 per cell]
3 Tm 0.0000 0.0000 0.0000 [3 per cell]
4 Tm 0.0470 0.5235 0.1179 [18 per cell]
5 Sc 0.0000 0.0000 0.5000 [3 per cell]

---

No. 3
This entry pairs a crystal structure of Tb2Tm6Sc3 with its calculated PXRD pattern. Radiation: Cu Kα X-rays. Structure: a DFT-relaxed cell (GGA-PBE, Alexandria).
Lines closer than 0.1° are merged.

Principal peaks in the range 2θ from 15° to 90°, by intensity:
hkl 0 1 11, 31.8°, d = 2.816 Å, rel. 1000
hkl 1 0 22, 37.0°, d = 2.432 Å, rel. 642
hkl 0 0 33, 32.1°, d = 2.787 Å, rel. 294
hkl 1 1 33, 63.4°, d = 1.468 Å, rel. 248
hkl 1 1 0, 53.0°, d = 1.726 Å, rel. 246
hkl 0 1 44, 53.5°, d = 1.713 Å, rel. 191
hkl 2 0 11, 63.2°, d = 1.472 Å, rel. 139
hkl 1 2 11, 87.0°, d = 1.120 Å, rel. 117
hkl 0 2 22, 66.4°, d = 1.408 Å, rel. 115
hkl 1 0 55, 63.8°, d = 1.460 Å, rel. 111
hkl 2 1 22, 89.9°, d = 1.091 Å, rel. 106
hkl 0 0 18, 17.4°, d = 5.110 Å, rel. 92

Structural model:
Cell lengths 3.4529, 3.4529, 91.9837 Å; angles 90.00, 90.00, 120.00 degrees
Space group R-3m (No. 166, hexagonal axes)
Inequivalent atoms, fractional coordinates:
1 Tb 0.0000 0.0000 0.0469 [6 per cell]
2 Tm 0.0000 0.0000 0.1373 [6 per cell]
3 Tm 0.0000 0.0000 0.3179 [6 per cell]
4 Tm 0.0000 0.0000 0.4118 [6 per cell]
5 Sc 0.0000 0.0000 0.2255 [6 per cell]
6 Sc 0.0000 0.0000 0.5000 [3 per cell]

---

No. 4
This entry pairs a crystal structure of Tb3Tm2Sc5 with its calculated PXRD pattern. Radiation: Cu Kα X-rays. Structure: a DFT-relaxed cell (GGA-PBE, Alexandria).
Lines closer than 0.1° are merged.

Principal peaks in the range 2θ from 15° to 90°, by intensity:
hkl 1 2 0, 32.3°, d = 2.771 Å, rel. 1000
hkl 3 -1 1, 37.5°, d = 2.396 Å, rel. 333
hkl 4 1 1, 64.4°, d = 1.446 Å, rel. 195
hkl 4 2 -2, 54.1°, d = 1.695 Å, rel. 179
hkl 1 -5 1, 54.0°, d = 1.699 Å, rel. 169
hkl -2 2 2, 37.4°, d = 2.406 Å, rel. 164
hkl 2 0 -1, 20.7°, d = 4.288 Å, rel. 101
hkl -1 4 2, 64.2°, d = 1.451 Å, rel. 67
hkl -4 5 1, 64.3°, d = 1.449 Å, rel. 65
hkl -6 1 1, 64.5°, d = 1.445 Å, rel. 63
hkl 4 -6 2, 67.7°, d = 1.384 Å, rel. 58
hkl -2 1 1, 21.9°, d = 4.062 Å, rel. 58

Structural model:
Cell lengths 8.9662, 8.9767, 8.9802 Å; angles 115.17, 106.62, 106.68 degrees
Space group P-1 (No. 2)
Inequivalent atoms, fractional coordinates:
1 Tb 0.1529 0.1761 0.2307 [2 per cell]
2 Tb 0.2518 0.6307 0.3809 [2 per cell]
3 Tb 0.2540 0.1244 0.8702 [2 per cell]
4 Tm 0.0528 0.7258 0.0759 [2 per cell]
5 Tm 0.4463 0.5233 0.6813 [2 per cell]
6 Sc 0.0475 0.2239 0.5751 [2 per cell]
7 Sc 0.1519 0.6740 0.7248 [2 per cell]
8 Sc 0.3482 0.5764 0.0240 [2 per cell]
9 Sc 0.3518 0.0734 0.5275 [2 per cell]
10 Sc 0.4513 0.0207 0.1728 [2 per cell]

---

No. 5
This entry pairs a crystal structure of Tb12Tm5Sc with its calculated PXRD pattern. Radiation: Cu Kα X-rays. Structure: a DFT-relaxed cell (GGA-PBE, Alexandria).
Lines closer than 0.1° are merged.

Principal peaks in the range 2θ from 15° to 90°, by intensity:
hkl 3 3 1, 32.5°, d = 2.751 Å, rel. 1000
hkl 0 0 2, 30.8°, d = 2.901 Å, rel. 578
hkl 3 3 3, 56.0°, d = 1.643 Å, rel. 215
hkl 0 6 2, 44.1°, d = 2.051 Å, rel. 212
hkl 3 9 1, 55.8°, d = 1.646 Å, rel. 202
hkl 6 0 2, 59.1°, d = 1.562 Å, rel. 175
hkl 6 6 2, 68.2°, d = 1.376 Å, rel. 112
hkl 3 9 3, 73.9°, d = 1.283 Å, rel. 88
hkl 6 0 0, 49.1°, d = 1.854 Å, rel. 77
hkl 9 3 1, 81.3°, d = 1.183 Å, rel. 68
hkl 0 6 4, 73.0°, d = 1.296 Å, rel. 48
hkl 0 12 2, 72.8°, d = 1.299 Å, rel. 45

Structural model:
Cell lengths 11.1243, 17.4345, 5.7933 Å; angles 90.00, 90.00, 90.00 degrees
Space group Cmmm (No. 65)
Inequivalent atoms, fractional coordinates:
1 Tb 0.1553 0.0000 0.0000 [4 per cell]
2 Tb 0.1567 0.5000 0.5000 [4 per cell]
3 Tb 0.1628 0.1586 0.5000 [8 per cell]
4 Tb 0.1654 0.3372 0.0000 [8 per cell]
5 Tm 0.0000 0.1718 0.0000 [4 per cell]
6 Tm 0.0000 0.3273 0.5000 [4 per cell]
7 Tm 0.0000 0.5000 0.0000 [2 per cell]
8 Sc 0.0000 0.0000 0.5000 [2 per cell]

---

No. 6
This entry pairs a crystal structure of Tb4Tm8Sc with its calculated PXRD pattern. Radiation: Cu Kα X-rays. Structure: a DFT-relaxed cell (GGA-PBE, Alexandria).
Lines closer than 0.1° are merged.

Principal peaks in the range 2θ from 15° to 90°, by intensity:
hkl 2 2 -2, 31.3°, d = 2.854 Å, rel. 1000
hkl 2 2 1, 33.1°, d = 2.705 Å, rel. 705
hkl 0 0 3, 31.7°, d = 2.826 Å, rel. 422
hkl 0 4 0, 49.4°, d = 1.844 Å, rel. 330
hkl 4 0 -1, 28.2°, d = 3.169 Å, rel. 301
hkl 6 2 1, 59.9°, d = 1.544 Å, rel. 225
hkl 4 0 3, 55.0°, d = 1.669 Å, rel. 196
hkl 2 2 4, 58.4°, d = 1.579 Å, rel. 142
hkl 4 4 0, 59.7°, d = 1.549 Å, rel. 138
hkl 4 0 1, 37.5°, d = 2.401 Å, rel. 131
hkl 6 2 4, 86.8°, d = 1.122 Å, rel. 131
hkl 2 2 0, 28.8°, d = 3.098 Å, rel. 123

Structural model:
Cell lengths 12.7807, 7.3729, 9.4922 Å; angles 90.00, 116.71, 90.00 degrees
Space group C2/m (No. 12)
Inequivalent atoms, fractional coordinates:
1 Tb 0.0000 0.0000 0.0000 [2 per cell]
2 Tb 0.0000 0.5000 0.0000 [2 per cell]
3 Tb 0.2500 0.2500 0.0000 [4 per cell]
4 Tm 0.0360 0.2188 0.3263 [8 per cell]
5 Tm 0.2209 0.0000 0.6634 [4 per cell]
6 Tm 0.2453 0.5000 0.6730 [4 per cell]
7 Sc 0.0000 0.5000 0.5000 [2 per cell]

---

Repeat the third record exactly.
This entry pairs a crystal structure of Tb2Tm6Sc3 with its calculated PXRD pattern. Radiation: Cu Kα X-rays. Structure: a DFT-relaxed cell (GGA-PBE, Alexandria).
Lines closer than 0.1° are merged.

Principal peaks in the range 2θ from 15° to 90°, by intensity:
hkl 0 1 11, 31.8°, d = 2.816 Å, rel. 1000
hkl 1 0 22, 37.0°, d = 2.432 Å, rel. 642
hkl 0 0 33, 32.1°, d = 2.787 Å, rel. 294
hkl 1 1 33, 63.4°, d = 1.468 Å, rel. 248
hkl 1 1 0, 53.0°, d = 1.726 Å, rel. 246
hkl 0 1 44, 53.5°, d = 1.713 Å, rel. 191
hkl 2 0 11, 63.2°, d = 1.472 Å, rel. 139
hkl 1 2 11, 87.0°, d = 1.120 Å, rel. 117
hkl 0 2 22, 66.4°, d = 1.408 Å, rel. 115
hkl 1 0 55, 63.8°, d = 1.460 Å, rel. 111
hkl 2 1 22, 89.9°, d = 1.091 Å, rel. 106
hkl 0 0 18, 17.4°, d = 5.110 Å, rel. 92

Structural model:
Cell lengths 3.4529, 3.4529, 91.9837 Å; angles 90.00, 90.00, 120.00 degrees
Space group R-3m (No. 166, hexagonal axes)
Inequivalent atoms, fractional coordinates:
1 Tb 0.0000 0.0000 0.0469 [6 per cell]
2 Tm 0.0000 0.0000 0.1373 [6 per cell]
3 Tm 0.0000 0.0000 0.3179 [6 per cell]
4 Tm 0.0000 0.0000 0.4118 [6 per cell]
5 Sc 0.0000 0.0000 0.2255 [6 per cell]
6 Sc 0.0000 0.0000 0.5000 [3 per cell]